[1]
For LaSm2TiN4, a crystal structure in Alexandria, relaxed with PBE gives the theoretical powder diffraction line list in this record (λ = 1.5418 Å (Cu Kα)).
No peak broadening, texture or thermal motion is included.

Cell and atoms:
```
LaSm2TiN4
1.0
1.749 -6.041 0.000
1.749 6.041 0.000
0.000 0.000 12.183
La Sm Ti N
2 4 2 8
Cartesian
1.749 4.873 9.137
1.749 -4.873 3.046
1.749 1.573 6.578
1.749 1.573 11.696
1.749 -1.573 0.487
1.749 -1.573 5.604
1.749 4.007 3.046
1.749 -4.007 9.137
0.000 0.000 0.000
0.000 0.000 6.091
1.749 2.837 1.569
1.749 2.837 4.523
1.749 0.924 9.137
1.749 -0.924 3.046
1.749 -2.837 7.660
1.749 -2.837 10.614
```

The 8 most intense peaks (2θ from 10° to 90°), low angle first:
2θ (°)  I/Imax
26.5  69.1
29.3  39.5
29.6  48.2
30.4  100.0
34.8  38.4
37.1  66.2
46.0  28.0
51.0  27.0

=====

[2]
For LaSmWN4, a crystal structure in Alexandria, relaxed with PBE gives the theoretical powder diffraction line list in this record (λ = 1.5418 Å (Cu Kα)).
No peak broadening, texture or thermal motion is included.

Cell and atoms:
```
LaSmWN4
1.0
3.976 0.000 0.000
0.000 3.976 0.000
0.000 0.000 12.574
La Sm W N
2 2 2 8
Cartesian
0.000 0.000 0.000
1.988 1.988 6.287
0.000 0.000 8.918
1.988 1.988 2.631
0.000 0.000 4.427
1.988 1.988 10.714
0.000 0.000 2.382
0.000 0.000 6.548
0.000 1.988 4.426
0.000 1.988 10.713
1.988 0.000 4.426
1.988 0.000 10.713
1.988 1.988 0.261
1.988 1.988 8.669
```

The 8 most intense peaks (2θ from 10° to 90°), low angle first:
2θ (°)  I/Imax
14.1  14.7
31.0  100.0
31.8  58.9
42.5  13.6
43.2  13.4
45.6  26.6
54.6  17.4
56.2  39.7

=====

[3]
For La2SnN, a crystal structure in Alexandria, relaxed with PBE gives the theoretical powder diffraction line list in this record (λ = 1.5418 Å (Cu Kα)).
No peak broadening, texture or thermal motion is included.

Cell and atoms:
```
La2SnN
1.0
5.540 0.000 0.000
0.000 5.981 0.000
-2.760 0.000 7.070
La Sn N
4 2 2
Cartesian
-0.244 0.000 2.149
-0.240 2.991 4.918
3.019 2.991 2.152
3.023 0.000 4.920
0.000 2.991 0.000
2.770 0.000 0.000
-1.380 1.495 3.535
-1.380 4.486 3.535
```

The 8 most intense peaks (2θ from 10° to 90°), low angle first:
2θ (°)  I/Imax
29.0  100.0
29.9  23.9
32.3  15.5
38.2  10.0
44.6  14.8
49.2  11.2
52.5  19.3
55.6  10.3

=====

[4]
For La8Sn2N3, a crystal structure in Alexandria, relaxed with PBE gives the theoretical powder diffraction line list in this record (λ = 1.5418 Å (Cu Kα)).
No peak broadening, texture or thermal motion is included.

Cell and atoms:
```
La8Sn2N3
1.0
5.004 0.000 0.000
0.000 5.004 0.000
0.000 0.000 14.736
La Sn N
8 2 3
Cartesian
0.000 0.000 2.579
0.000 0.000 12.158
0.000 2.502 0.000
0.000 2.502 5.312
0.000 2.502 9.425
2.502 0.000 0.000
2.502 0.000 5.312
2.502 0.000 9.425
2.502 2.502 2.706
2.502 2.502 12.030
0.000 0.000 0.000
0.000 0.000 5.001
0.000 0.000 9.735
```

The 8 most intense peaks (2θ from 10° to 90°), low angle first:
2θ (°)  I/Imax
28.0  22.2
31.2  100.0
35.9  44.4
47.7  15.5
51.7  15.6
52.2  17.6
56.3  16.5
61.6  29.1

=====

[5]
For SrLa2SnN4, a crystal structure in Alexandria, relaxed with PBE gives the theoretical powder diffraction line list in this record (λ = 1.5418 Å (Cu Kα)).
No peak broadening, texture or thermal motion is included.

Cell and atoms:
```
SrLa2SnN4
1.0
1.828 -6.329 0.000
1.828 6.329 0.000
0.000 0.000 12.752
Sr La Sn N
2 4 2 8
Cartesian
1.828 4.999 9.564
1.828 -4.999 3.188
1.828 1.634 6.798
1.828 1.634 12.330
1.828 -1.634 0.422
1.828 -1.634 5.954
1.828 4.272 3.188
1.828 -4.272 9.564
0.000 0.000 0.000
0.000 0.000 6.376
1.828 3.022 1.543
1.828 3.022 4.833
1.828 0.821 9.564
1.828 -0.821 3.188
1.828 -3.022 7.919
1.828 -3.022 11.209
```

The 8 most intense peaks (2θ from 10° to 90°), low angle first:
2θ (°)  I/Imax
15.6  19.1
28.0  50.0
28.2  45.4
29.0  100.0
33.1  32.3
35.4  97.1
38.0  20.9
40.2  29.1

=====

[6]
For La2Tb4Sn3N2, a crystal structure in Alexandria, relaxed with PBE gives the theoretical powder diffraction line list in this record (λ = 1.5418 Å (Cu Kα)).
No peak broadening, texture or thermal motion is included.

Cell and atoms:
```
La2Tb4Sn3N2
1.0
-2.397 2.397 12.854
2.397 -2.397 12.854
2.397 2.397 -12.854
La Tb Sn N
2 4 3 2
Cartesian
0.000 0.000 4.901
0.000 0.000 20.806
2.397 0.000 2.107
2.397 0.000 10.746
0.000 2.397 2.107
0.000 2.397 10.746
0.000 0.000 8.426
0.000 0.000 12.854
0.000 0.000 17.281
0.000 0.000 2.532
0.000 0.000 23.175
```

The 8 most intense peaks (2θ from 10° to 90°), low angle first:
2θ (°)  I/Imax
27.2  38.1
27.8  14.4
33.7  100.0
37.5  48.8
47.3  13.5
54.1  17.0
57.7  14.5
65.3  31.3

=====

[7]
For LaTb2SnN4, a crystal structure in Alexandria, relaxed with PBE gives the theoretical powder diffraction line list in this record (λ = 1.5418 Å (Cu Kα)).
No peak broadening, texture or thermal motion is included.

Cell and atoms:
```
LaTb2SnN4
1.0
1.809 -5.961 0.000
1.809 5.961 0.000
0.000 0.000 12.108
La Tb Sn N
2 4 2 8
Cartesian
1.809 4.661 9.081
1.809 -4.661 3.027
1.809 1.537 6.501
1.809 1.537 11.661
1.809 -1.537 0.447
1.809 -1.537 5.607
1.809 4.138 3.027
1.809 -4.138 9.081
0.000 0.000 0.000
0.000 0.000 6.054
1.809 2.763 1.459
1.809 2.763 4.595
1.809 0.698 9.081
1.809 -0.698 3.027
1.809 -2.763 7.513
1.809 -2.763 10.649
```

The 8 most intense peaks (2θ from 10° to 90°), low angle first:
2θ (°)  I/Imax
26.7  24.2
29.5  43.6
29.7  100.0
30.0  50.3
36.7  83.8
42.6  27.9
51.2  20.7
59.8  22.9

=====

[8]
For La5Sn2TeN, a crystal structure in Alexandria, relaxed with PBE gives the theoretical powder diffraction line list in this record (λ = 1.5418 Å (Cu Kα)).
No peak broadening, texture or thermal motion is included.

Cell and atoms:
```
La5Sn2TeN
1.0
4.897 0.000 0.000
0.000 4.897 0.000
0.000 0.000 11.880
La Sn Te N
5 2 1 1
Cartesian
0.000 0.000 0.000
0.000 2.449 5.940
2.449 0.000 5.940
2.449 2.449 3.150
2.449 2.449 8.730
0.000 0.000 3.411
0.000 0.000 8.470
2.449 2.449 0.000
2.449 2.449 5.940
```

The 8 most intense peaks (2θ from 10° to 90°), low angle first:
2θ (°)  I/Imax
25.7  50.2
26.8  64.8
29.9  59.9
30.1  56.3
34.4  100.0
36.7  83.6
48.2  60.9
64.6  32.5